Starting from a cell relaxed with PBE+U, the X-ray powder pattern of Cr3NiP4O16 was computed for Cu Kα (λ = 1.5418 Å).
Kinematic intensities with the Lorentz-polarization factor, no thermal factor.

Structure:
```
data_Cr3NiP4O16
_symmetry_space_group_name_H-M 'P 1 m 1'
_symmetry_Int_Tables_number 6
_cell_length_a 4.789
_cell_length_b 5.748
_cell_length_c 9.885
_cell_angle_alpha 90.00
_cell_angle_beta 90.26
_cell_angle_gamma 90.00
loop_
_symmetry_equiv_pos_as_xyz
'x,y,z'
'x,-y,z'
loop_
_atom_site_label
_atom_site_type_symbol
_atom_site_fract_x
_atom_site_fract_y
_atom_site_fract_z
_atom_site_occupancy
Cr1 Cr 0.000 0.000 0.000 1
Cr2 Cr 0.099 0.500 0.543 1
Cr3 Cr 0.602 0.000 0.502 1
Ni1 Ni 0.493 0.500 0.044 1
P1 P 0.164 0.000 0.683 1
P2 P 0.432 0.000 0.180 1
P3 P 0.661 0.500 0.361 1
P4 P 0.951 0.500 0.861 1
O1 O 0.233 0.000 0.834 1
O2 O 0.265 0.500 0.878 1
O3 O 0.275 0.207 0.107 1
O4 O 0.315 0.208 0.606 1
O5 O 0.347 0.500 0.388 1
O6 O 0.379 0.000 0.333 1
O7 O 0.724 0.500 0.213 1
O8 O 0.746 0.000 0.154 1
O9 O 0.806 0.288 0.935 1
O10 O 0.814 0.292 0.440 1
O11 O 0.850 0.000 0.659 1
O12 O 0.875 0.500 0.710 1
```

The 10 most intense peaks (5° ≤ 2θ ≤ 70°), in order of rising 2θ:
2θ = 17.95°, I 622, (0 0 2); 2θ = 20.60°, I 718, (1 0 -1); 2θ = 23.74°, I 247, (0 1 2); 2θ = 25.84°, I 1000, (1 1 -1); 2θ = 31.12°, I 718, (0 2 0); 2θ = 36.54°, I 508, (1 1 -3); 2θ = 36.68°, I 533, (1 1 3); 2θ = 37.62°, I 298, (1 2 -1); 2θ = 59.01°, I 231, (1 3 3); 2θ = 65.28°, I 195, (0 2 6)